Starting from a crystal structure in the Materials Project, relaxed with PBE+U, the powder X-ray diffraction pattern of U7V5Ag3O35 was computed for Cu Kα.
Peak positions follow from Bragg's law for the DFT cell and can differ from measured ones.

```
50
Lattice="7.367 0.000 0.000 0.000 7.336 0.000 -0.001 0.000 15.050" Properties=species:S:1:pos:R:3 pbc="T T T"
U 0.000 0.000 0.000
U 7.366 0.000 4.310
U 7.365 3.668 6.327
U 7.366 3.668 10.633
U 3.676 0.000 8.484
U 3.675 3.668 12.608
U 3.682 3.668 1.878
V 7.365 0.000 7.619
V 7.365 3.668 2.936
V 7.365 3.668 13.990
V 3.682 0.000 0.940
V 3.680 3.668 9.317
Ag 3.681 1.955 5.339
Ag 3.681 5.380 5.339
Ag 5.668 0.000 11.601
O 0.002 0.000 1.948
O 7.364 1.303 6.449
O 7.364 2.210 14.945
O 7.365 2.336 4.059
O 7.365 3.668 8.432
O 7.365 5.000 4.059
O 7.364 5.125 14.945
O 7.364 6.033 6.449
O 1.328 3.668 12.871
O 1.455 0.000 8.537
O 1.463 3.668 1.997
O 1.816 0.000 4.336
O 1.844 3.668 6.190
O 2.228 0.000 15.044
O 2.373 3.668 10.468
O 3.677 0.000 6.578
O 3.682 1.473 1.899
O 3.682 2.217 8.371
O 3.682 3.668 3.776
O 3.680 3.668 14.999
O 3.682 5.118 8.371
O 3.682 5.863 1.899
O 3.706 1.867 12.604
O 3.706 5.469 12.604
O 3.742 0.000 10.325
O 4.987 3.668 10.469
O 5.132 0.000 15.038
O 5.519 3.668 6.189
O 5.546 0.000 4.335
O 5.900 3.668 1.997
O 5.910 0.000 8.548
O 6.035 3.668 12.870
O 7.309 0.000 13.206
O 7.332 1.852 10.723
O 7.332 5.484 10.723
```

Top 6 peaks for 5° ≤ 2θ ≤ 70°, in order of falling intensity:
| 2θ/deg | intensity |
| --- | --- |
| 26.61 | 100.0 |
| 18.05 | 80.0 |
| 24.16 | 79.0 |
| 24.27 | 62.3 |
| 21.45 | 50.8 |
| 32.57 | 44.0 |

=====

Starting from a crystal structure in the Materials Project, relaxed with PBE+U, the powder X-ray diffraction pattern of KCeEuWO6 was computed for Cu Kα.
Peak positions follow from Bragg's law for the DFT cell and can differ from measured ones.

```
10
Lattice="0.000 4.244 4.244 4.244 0.000 4.244 4.244 4.244 0.000" Properties=species:S:1:pos:R:3 pbc="T T T"
K 0.000 0.000 0.000
Ce 2.122 2.122 2.122
Eu 4.244 4.244 4.244
W 6.366 6.366 6.366
O 6.366 6.366 4.392
O 6.366 4.392 6.366
O 8.339 6.366 6.366
O 4.392 6.366 6.366
O 6.366 8.339 6.366
O 6.366 6.366 8.339
```

Top 6 peaks for 5° ≤ 2θ ≤ 70°, in order of falling intensity:
| 2θ/deg | intensity |
| --- | --- |
| 29.77 | 100.0 |
| 52.84 | 40.4 |
| 42.61 | 29.7 |
| 61.84 | 18.5 |
| 18.10 | 13.9 |
| 20.93 | 13.7 |

=====

Starting from a crystal structure in the Materials Project, relaxed with PBE+U, the powder X-ray diffraction pattern of CsMnCuF6 was computed for Cu Kα.
Peak positions follow from Bragg's law for the DFT cell and can differ from measured ones.

```
18
Lattice="-3.604 3.890 5.266 3.604 -3.890 5.266 3.604 3.890 -5.266" Properties=species:S:1:pos:R:3 pbc="T T T"
Cs 0.000 1.945 1.301
Cs 3.604 1.945 3.966
Mn 3.604 0.000 0.000
Mn 0.000 0.000 5.266
Cu 1.802 1.945 -2.633
Cu 1.802 -1.945 2.633
F 2.238 -0.415 1.258
F 4.970 -0.415 1.258
F 3.604 -1.945 3.327
F 3.604 1.945 0.771
F 2.238 3.475 -1.258
F 1.366 -0.415 4.008
F 2.238 4.305 1.258
F 1.366 0.415 6.525
F 0.000 1.945 4.495
F 0.000 5.834 1.940
F -1.366 4.305 4.008
F 1.366 4.305 4.008
```

Top 6 peaks for 5° ≤ 2θ ≤ 70°, in order of falling intensity:
| 2θ/deg | intensity |
| --- | --- |
| 28.57 | 100.0 |
| 27.40 | 77.5 |
| 48.82 | 56.6 |
| 23.85 | 51.9 |
| 27.88 | 43.4 |
| 28.27 | 32.7 |

=====

Question: Which formula does entry 3 have?
Answer: CsMnCuF6